# Rb3Bi2O4F3
Simulated powder diffractogram, Cu Kα. Input: DFT lattice parameters and positions (GGA-PBE).

The 8 most intense peaks (2θ = 10–80°), in order of rising 2θ:
- 2θ 14.63, intensity 37
- 2θ 26.54, intensity 100
- 2θ 27.89, intensity 93
- 2θ 28.39, intensity 98
- 2θ 38.64, intensity 40
- 2θ 47.38, intensity 46
- 2θ 48.32, intensity 45
- 2θ 50.77, intensity 35

Structure:
abc: 4.259 4.660 24.221
angles: 90.00 90.00 90.00
Space group Immm (No. 71)
Symmetry-distinct sites (fractional):
Rb1 0.000 0.000 0.000 x2
Rb2 0.000 0.000 0.196 x4
Bi1 0.000 0.000 0.396 x4
O1 0.000 0.000 0.311 x4
O2 0.000 0.500 0.088 x4
F1 0.000 0.000 0.500 x2
F2 0.000 0.500 0.403 x4